(1)
Starting from a cell relaxed with PBE, the powder X-ray diffraction pattern of BiPbS2Cl was computed for CuKα.
Intensities are scaled so that the largest is 1000.

Peak list (6 most intense, 2θ from 10° to 90°, most intense first)
Position (°2θ), intensity, hkl
21.13, 1000, 1 1 0
27.20, 471, 0 1 2
28.97, 419, 1 0 2
29.36, 395, 2 0 -2
32.70, 368, 0 2 0
44.54, 366, 2 2 -2

a = 6.8778 Å, b = 5.4777 Å, c = 8.5748 Å
α = 90.00°, β = 107.41°, γ = 90.00°
Space group P2_1/m (No. 11)
Inequivalent atoms, fractional coordinates:
1 Bi 0.1888 0.2500 0.4220 (multiplicity 2)
2 Pb 0.2086 0.2500 0.9226 (multiplicity 2)
3 S 0.0666 0.7500 0.8690 (multiplicity 2)
4 S 0.0739 0.7500 0.4104 (multiplicity 2)
5 Cl 0.4740 0.7500 0.2468 (multiplicity 2)


(2)
Starting from a cell relaxed with PBE, the powder X-ray diffraction pattern of Pu3H4 was computed for CuKα.
Intensities are scaled so that the largest is 1000.

Peak list (6 most intense, 2θ from 10° to 90°, most intense first)
Position (°2θ), intensity, hkl
30.10, 1000, 2 1 1
37.80, 299, 1 3 1
64.94, 268, 2 2 3
37.06, 212, 0 1 2
31.78, 205, 2 2 0
42.47, 193, 4 1 0

a = 11.2619 Å, b = 11.2619 Å, c = 5.0095 Å
α = 90.00°, β = 90.00°, γ = 120.00°
Space group R-3c (No. 167, hexagonal axes)
Inequivalent atoms, fractional coordinates:
1 Pu 0.0000 0.1904 0.2500 (multiplicity 18)
2 H 0.0000 0.0000 0.0000 (multiplicity 6)
3 H 0.0000 0.2340 0.7500 (multiplicity 18)


(3)
Starting from a cell relaxed with PBE, the powder X-ray diffraction pattern of TmUIr was computed for CuKα.
Intensities are scaled so that the largest is 1000.

Peak list (6 most intense, 2θ from 10° to 90°, most intense first)
Position (°2θ), intensity, hkl
37.25, 1000, 0 2 4
33.33, 746, 2 0 2
41.24, 615, 2 2 2
39.58, 461, 1 3 1
28.62, 448, 1 1 3
75.00, 321, 4 2 4

a = 5.9490 Å, b = 7.5405 Å, c = 12.5674 Å
α = 90.00°, β = 90.00°, γ = 90.00°
Space group Fmmm (No. 69)
Inequivalent atoms, fractional coordinates:
1 Tm 0.0000 0.1936 0.0000 (multiplicity 8)
2 U 0.2500 0.2500 0.2500 (multiplicity 8)
3 Ir 0.0000 0.0000 0.3788 (multiplicity 8)


(4)
Starting from a cell relaxed with PBE, the powder X-ray diffraction pattern of Li3Zn4Ag2 was computed for CuKα.
Intensities are scaled so that the largest is 1000.

Peak list (6 most intense, 2θ from 10° to 90°, most intense first)
Position (°2θ), intensity, hkl
25.73, 1000, 1 1 -1
40.39, 889, 3 1 0
40.52, 877, 1 1 -3
21.87, 455, 0 0 2
41.39, 416, 2 0 3
41.74, 405, 0 2 0

a = 7.8291 Å, b = 4.3279 Å, c = 8.1352 Å
α = 90.00°, β = 92.57°, γ = 90.00°
Space group C2/m (No. 12)
Inequivalent atoms, fractional coordinates:
1 Li 0.0000 0.0000 0.0000 (multiplicity 2)
2 Li 0.1686 0.5000 0.5593 (multiplicity 4)
3 Zn 0.0034 0.0000 0.6599 (multiplicity 4)
4 Zn 0.1666 0.5000 0.8863 (multiplicity 4)
5 Ag 0.1640 0.5000 0.2211 (multiplicity 4)


(5)
Starting from a cell relaxed with PBE, the powder X-ray diffraction pattern of B was computed for CuKα.
Intensities are scaled so that the largest is 1000.

Peak list (6 most intense, 2θ from 10° to 90°, most intense first)
Position (°2θ), intensity, hkl
20.16, 1000, 2 0 0
36.95, 714, 3 1 1
22.83, 630, 1 1 1
65.32, 286, 3 1 3
35.98, 252, 0 0 2
68.58, 211, 5 2 2

a = 8.8108 Å, b = 8.8108 Å, c = 4.9920 Å
α = 90.00°, β = 90.00°, γ = 90.00°
Space group P4_2/nnm (No. 134, origin choice 2)
Inequivalent atoms, fractional coordinates:
1 B 0.0035 0.5035 0.1692 (multiplicity 8)
2 B 0.0220 0.6672 0.6583 (multiplicity 16)
3 B 0.0798 0.1637 0.8469 (multiplicity 16)
4 B 0.1209 0.6209 0.3586 (multiplicity 8)
5 B 0.2500 0.7500 0.2500 (multiplicity 2)


(6)
Starting from a cell relaxed with PBE, the powder X-ray diffraction pattern of Pm2AlSn was computed for CuKα.
Intensities are scaled so that the largest is 1000.

Peak list (6 most intense, 2θ from 10° to 90°, most intense first)
Position (°2θ), intensity, hkl
29.51, 1000, 0 1 2
36.97, 525, 1 1 -3
30.24, 390, 1 0 -3
30.98, 276, 2 0 -2
39.04, 261, 1 0 3
42.26, 219, 0 2 0

a = 6.2201 Å, b = 4.2767 Å, c = 9.0081 Å
α = 90.00°, β = 108.03°, γ = 90.00°
Space group P2_1/m (No. 11)
Inequivalent atoms, fractional coordinates:
1 Pm 0.2037 0.2500 0.4266 (multiplicity 2)
2 Pm 0.2839 0.7500 0.0666 (multiplicity 2)
3 Al 0.1337 0.2500 0.7892 (multiplicity 2)
4 Sn 0.3681 0.7500 0.7106 (multiplicity 2)